(1)
The following is a simulated X-ray diffraction stick pattern of CoI2O6. It was derived from DFT lattice parameters and positions (PBE+U), using a wavelength of 1.5418 Å.
Neutral-atom scattering factors, no anomalous dispersion.

The 6 most intense peaks (2θ = 10–90°), low angle first:
2θ = 21.7°, I 72, (0 1 3); 2θ = 22.4°, I 61, (1 0 3); 2θ = 23.4°, I 100, (1 1 1); 2θ = 25.0°, I 62, (1 1 2); 2θ = 26.0°, I 52, (1 0 4); 2θ = 27.4°, I 81, (1 1 3)

Cell: 5.372 5.659 17.746 Å, 90.00 90.00 90.00°
Space group P2_12_12_1 (No. 19)
Symmetry-distinct sites (fractional):
Co (0.223, 0.172, 0.100) [4 per cell]
I (0.023, 0.860, 0.925) [4 per cell]
I (0.243, 0.719, 0.294) [4 per cell]
O (0.021, 0.012, 0.204) [4 per cell]
O (0.029, 0.478, 0.842) [4 per cell]
O (0.081, 0.618, 0.520) [4 per cell]
O (0.102, 0.498, 0.664) [4 per cell]
O (0.107, 0.869, 0.378) [4 per cell]
O (0.246, 0.166, 0.549) [4 per cell]



(2)
The following is a simulated X-ray diffraction stick pattern of In2CoS2O2. It was derived from DFT lattice parameters and positions (PBE+U), using a wavelength of 1.5418 Å.
Neutral-atom scattering factors, no anomalous dispersion.

The 6 most intense peaks (2θ = 10–90°), low angle first:
2θ = 10.3°, I 100, (0 0 2); 2θ = 20.8°, I 74, (0 0 4); 2θ = 23.1°, I 40, (1 0 1); 2θ = 33.8°, I 81, (1 1 2); 2θ = 38.5°, I 62, (1 1 4); 2θ = 45.5°, I 44, (1 1 6)

Cell: 3.946 3.946 17.113 Å, 90.00 90.00 90.00°
Space group I4/mmm (No. 139)
Symmetry-distinct sites (fractional):
In (0.000, 0.500, 0.250) [4 per cell]
Co (0.000, 0.000, 0.000) [2 per cell]
S (0.000, 0.000, 0.135) [4 per cell]
O (0.000, 0.500, 0.000) [4 per cell]



(3)
The following is a simulated X-ray diffraction stick pattern of La2CoIrO6. It was derived from DFT lattice parameters and positions (PBE+U), using a wavelength of 1.5418 Å.
Neutral-atom scattering factors, no anomalous dispersion.

The 6 most intense peaks (2θ = 10–90°), low angle first:
2θ = 31.6°, I 22, (0 2 0); 2θ = 32.1°, I 100, (1 1 -3); 2θ = 32.5°, I 25, (2 0 -2); 2θ = 45.9°, I 21, (2 2 -2); 2θ = 57.6°, I 17, (2 0 2); 2θ = 57.8°, I 17, (3 1 -5)

Cell: 5.515 5.664 9.583 Å, 90.00 125.00 90.00°
Space group P2_1/c (No. 14)
Symmetry-distinct sites (fractional):
La (0.237, 0.057, 0.249) [4 per cell]
Co (0.000, 0.000, 0.500) [2 per cell]
Ir (0.500, 0.000, 0.000) [2 per cell]
O (0.147, 0.209, 0.953) [4 per cell]
O (0.248, 0.697, 0.954) [4 per cell]
O (0.333, 0.019, 0.743) [4 per cell]



(4)
The following is a simulated X-ray diffraction stick pattern of Mg2CoIrO6. It was derived from DFT lattice parameters and positions (PBE+U), using a wavelength of 1.5418 Å.
Neutral-atom scattering factors, no anomalous dispersion.

The 6 most intense peaks (2θ = 10–90°), low angle first:
2θ = 20.8°, I 37, (0 1 1); 2θ = 21.4°, I 34, (1 0 -2); 2θ = 24.1°, I 38, (0 0 2); 2θ = 24.5°, I 75, (1 1 -1); 2θ = 34.6°, I 100, (1 1 1); 2θ = 61.5°, I 32, (0 2 4)

Cell: 5.039 5.248 8.930 Å, 90.00 124.24 90.00°
Space group P2_1/c (No. 14)
Symmetry-distinct sites (fractional):
Mg (0.235, 0.064, 0.248) [4 per cell]
Co (0.000, 0.000, 0.500) [2 per cell]
Ir (0.500, 0.000, 0.000) [2 per cell]
O (0.109, 0.189, 0.932) [4 per cell]
O (0.246, 0.682, 0.929) [4 per cell]
O (0.379, 0.067, 0.747) [4 per cell]



(5)
The following is a simulated X-ray diffraction stick pattern of Sr4CoIr3O12. It was derived from DFT lattice parameters and positions (PBE+U), using a wavelength of 1.5418 Å.
Neutral-atom scattering factors, no anomalous dispersion.

The 6 most intense peaks (2θ = 10–90°), low angle first:
2θ = 22.3°, I 50, (1 1 0); 2θ = 31.6°, I 49, (0 2 0); 2θ = 31.7°, I 95, (1 -1 2); 2θ = 31.9°, I 100, (-1 1 2); 2θ = 32.0°, I 49, (2 0 0); 2θ = 45.6°, I 53, (0 0 4)

Cell: 5.602 5.663 7.953 Å, 90.31 90.04 90.14°
Space group P-1 (No. 2)
Symmetry-distinct sites (fractional):
Sr (0.004, 0.464, 0.259) [2 per cell]
Sr (0.488, 0.958, 0.260) [2 per cell]
Co (0.500, 0.500, 0.500) [1 per cell]
Ir (0.000, 0.000, 0.000) [1 per cell]
Ir (0.000, 0.000, 0.500) [1 per cell]
Ir (0.500, 0.500, 0.000) [1 per cell]
O (0.077, 0.984, 0.750) [2 per cell]
O (0.201, 0.702, 0.036) [2 per cell]
O (0.209, 0.721, 0.466) [2 per cell]
O (0.277, 0.212, 0.472) [2 per cell]
O (0.297, 0.204, 0.039) [2 per cell]
O (0.443, 0.492, 0.758) [2 per cell]



(6)
The following is a simulated X-ray diffraction stick pattern of KLaCoWO6. It was derived from DFT lattice parameters and positions (PBE+U), using a wavelength of 1.5418 Å.
Neutral-atom scattering factors, no anomalous dispersion.

The 6 most intense peaks (2θ = 10–90°), low angle first:
2θ = 19.2°, I 36, (1 1 1); 2θ = 31.7°, I 100, (2 2 0); 2θ = 37.3°, I 20, (3 1 1); 2θ = 45.4°, I 32, (4 0 0); 2θ = 56.4°, I 39, (4 2 2); 2θ = 66.2°, I 19, (4 4 0)

Cell: 7.989 7.989 7.989 Å, 90.00 90.00 90.00°
Space group F-43m (No. 216)
Symmetry-distinct sites (fractional):
K (0.000, 0.000, 0.000) [4 per cell]
La (0.000, 0.000, 0.500) [4 per cell]
Co (0.250, 0.250, 0.250) [4 per cell]
W (0.250, 0.250, 0.750) [4 per cell]
O (0.007, 0.250, 0.750) [24 per cell]



(7)
The following is a simulated X-ray diffraction stick pattern of K2Li3CoO4. It was derived from DFT lattice parameters and positions (PBE+U), using a wavelength of 1.5418 Å.
Neutral-atom scattering factors, no anomalous dispersion.

The 6 most intense peaks (2θ = 10–90°), low angle first:
2θ = 20.0°, I 58, (0 2 0); 2θ = 21.9°, I 86, (1 1 -2); 2θ = 34.1°, I 50, (2 1 -2); 2θ = 34.5°, I 100, (1 3 -1); 2θ = 35.0°, I 69, (0 0 4); 2θ = 35.1°, I 80, (1 2 2)

Cell: 5.574 8.849 11.019 Å, 90.00 111.28 90.00°
Space group P2_1/c (No. 14)
Symmetry-distinct sites (fractional):
K (0.207, 0.008, 0.362) [4 per cell]
K (0.218, 0.228, 0.608) [4 per cell]
Li (0.125, 0.736, 0.699) [4 per cell]
Li (0.132, 0.003, 0.932) [4 per cell]
Li (0.406, 0.534, 0.298) [4 per cell]
Co (0.406, 0.713, 0.564) [4 per cell]
O (0.244, 0.550, 0.623) [4 per cell]
O (0.249, 0.173, 0.856) [4 per cell]
O (0.264, 0.692, 0.380) [4 per cell]
O (0.277, 0.610, 0.112) [4 per cell]



(8)
The following is a simulated X-ray diffraction stick pattern of KLiCoO2. It was derived from DFT lattice parameters and positions (PBE+U), using a wavelength of 1.5418 Å.
Neutral-atom scattering factors, no anomalous dispersion.

The 6 most intense peaks (2θ = 10–90°), low angle first:
2θ = 28.0°, I 100, (1 1 0); 2θ = 32.1°, I 49, (2 0 -3); 2θ = 33.6°, I 56, (4 0 -1); 2θ = 38.5°, I 53, (2 0 2); 2θ = 40.9°, I 48, (1 1 2); 2θ = 43.1°, I 73, (3 1 -3)

Cell: 10.907 3.389 8.366 Å, 90.00 120.58 90.00°
Space group C2/m (No. 12)
Symmetry-distinct sites (fractional):
K (0.165, 0.000, 0.128) [4 per cell]
Li (0.160, 0.500, 0.445) [4 per cell]
Co (0.039, 0.000, 0.679) [4 per cell]
O (0.038, 0.500, 0.803) [4 per cell]
O (0.165, 0.000, 0.564) [4 per cell]



(9)
The following is a simulated X-ray diffraction stick pattern of K8MgCo2Mo8O30. It was derived from DFT lattice parameters and positions (PBE+U), using a wavelength of 1.5418 Å.
Neutral-atom scattering factors, no anomalous dispersion.

The 6 most intense peaks (2θ = 10–90°), low angle first:
2θ = 10.6°, I 34, (1 0 0); 2θ = 19.7°, I 31, (1 -1 1); 2θ = 26.8°, I 38, (2 1 2); 2θ = 27.5°, I 78, (-2 2 1); 2θ = 29.3°, I 100, (0 3 0); 2θ = 29.5°, I 51, (0 3 3)

Cell: 8.348 10.494 10.531 Å, 60.37 88.16 89.16°
Space group P1 (No. 1)
Symmetry-distinct sites (fractional):
K (0.000, 0.000, 0.000) [1 per cell]
K (0.001, 0.387, 0.365) [1 per cell]
K (0.361, 0.725, 0.327) [1 per cell]
K (0.701, 0.135, 0.218) [1 per cell]
K (0.717, 0.658, 0.986) [1 per cell]
K (0.728, 0.387, 0.715) [1 per cell]
K (0.838, 0.717, 0.328) [1 per cell]
K (0.988, 0.784, 0.609) [1 per cell]
Mg (0.056, 0.057, 0.675) [1 per cell]
Co (0.381, 0.384, 0.997) [1 per cell]
Co (0.383, 0.048, 0.670) [1 per cell]
Mo (0.001, 0.393, 0.983) [1 per cell]
Mo (0.206, 0.069, 0.317) [1 per cell]
Mo (0.223, 0.713, 0.991) [1 per cell]
Mo (0.227, 0.382, 0.675) [1 per cell]
Mo (0.501, 0.386, 0.332) [1 per cell]
Mo (0.501, 0.718, 0.659) [1 per cell]
Mo (0.511, 0.046, 0.983) [1 per cell]
Mo (0.725, 0.050, 0.632) [1 per cell]
O (0.071, 0.943, 0.309) [1 per cell]
O (0.072, 0.712, 0.116) [1 per cell]
O (0.076, 0.498, 0.558) [1 per cell]
O (0.164, 0.078, 0.484) [1 per cell]
O (0.190, 0.249, 0.148) [1 per cell]
O (0.194, 0.544, 0.977) [1 per cell]
O (0.207, 0.375, 0.855) [1 per cell]
O (0.209, 0.196, 0.699) [1 per cell]
O (0.210, 0.884, 0.815) [1 per cell]
O (0.308, 0.729, 0.590) [1 per cell]
O (0.309, 0.452, 0.346) [1 per cell]
O (0.317, 0.972, 0.047) [1 per cell]
O (0.403, 0.006, 0.318) [1 per cell]
O (0.415, 0.702, 0.059) [1 per cell]
O (0.420, 0.448, 0.604) [1 per cell]
O (0.507, 0.365, 0.170) [1 per cell]
O (0.516, 0.553, 0.837) [1 per cell]
O (0.517, 0.226, 0.968) [1 per cell]
O (0.530, 0.207, 0.498) [1 per cell]
O (0.536, 0.877, 0.684) [1 per cell]
O (0.563, 0.063, 0.804) [1 per cell]
O (0.652, 0.708, 0.540) [1 per cell]
O (0.655, 0.512, 0.315) [1 per cell]
O (0.659, 0.934, 0.112) [1 per cell]
O (0.789, 0.033, 0.480) [1 per cell]
O (0.864, 0.199, 0.619) [1 per cell]
O (0.870, 0.912, 0.774) [1 per cell]
O (0.898, 0.397, 0.131) [1 per cell]
O (0.910, 0.540, 0.831) [1 per cell]
O (0.912, 0.240, 0.984) [1 per cell]